[1]
Theoretical powder X-ray diffraction pattern
Compound: Cs2GeTeCl6
Radiation: Cu Kα, 1.54184 Å
Structure: a structure optimized by DFT (GGA-PBE)
Peak positions follow from Bragg's law for the DFT cell and can differ from measured ones.

Structure:
```
10
Lattice="-3.719 3.719 6.410 3.719 -3.719 6.410 3.719 3.719 -6.410" Properties=species:S:1:pos:R:3 pbc="T T T"
Cs 3.719 0.000 3.205
Cs 0.000 3.719 3.205
Ge 0.000 0.000 0.000
Te 0.000 0.000 6.410
Cl 0.000 0.000 2.578
Cl 1.868 1.868 0.000
Cl 1.851 -1.851 6.410
Cl -1.851 1.851 6.410
Cl 1.851 1.851 6.410
Cl 0.000 0.000 10.242
```

Top 6 peaks for 2θ = 10–90°, by angle:
- 2θ = 21.86°, I 100
- 2θ = 23.94°, I 44
- 2θ = 27.84°, I 35
- 2θ = 34.10°, I 51
- 2θ = 40.87°, I 40
- 2θ = 44.57°, I 36

---

[2]
Theoretical powder X-ray diffraction pattern
Compound: Cs2GeWCl6
Radiation: Cu Kα, 1.54184 Å
Structure: a structure optimized by DFT (GGA-PBE)
Peak positions follow from Bragg's law for the DFT cell and can differ from measured ones.

Structure:
```
10
Lattice="-3.625 3.625 6.088 3.625 -3.625 6.088 3.625 3.625 -6.088" Properties=species:S:1:pos:R:3 pbc="T T T"
Cs 3.625 0.000 3.044
Cs 0.000 3.625 3.044
Ge 0.000 0.000 0.000
W 0.000 0.000 6.088
Cl 1.889 1.889 0.000
Cl 1.735 -1.735 6.088
Cl 0.000 0.000 3.632
Cl 0.000 0.000 8.545
Cl -1.735 1.735 6.088
Cl 1.735 1.735 6.088
```

Top 6 peaks for 2θ = 10–90°, by angle:
- 2θ = 22.68°, I 100
- 2θ = 24.56°, I 39
- 2θ = 29.34°, I 30
- 2θ = 35.01°, I 42
- 2θ = 42.12°, I 40
- 2θ = 46.31°, I 32

---

[3]
Theoretical powder X-ray diffraction pattern
Compound: CsHCl
Radiation: Cu Kα, 1.54184 Å
Structure: a structure optimized by DFT (GGA-PBE)
Peak positions follow from Bragg's law for the DFT cell and can differ from measured ones.

Structure:
```
6
Lattice="4.492 0.000 0.000 0.000 4.597 0.000 0.000 0.000 8.861" Properties=species:S:1:pos:R:3 pbc="T T T"
Cs 0.000 0.000 0.000
Cs 0.000 2.299 4.430
H 2.246 0.000 4.051
H 2.246 0.000 4.810
Cl 2.246 2.299 1.920
Cl 2.246 2.299 6.941
```

Top 6 peaks for 2θ = 10–90°, by angle:
- 2θ = 20.04°, I 31
- 2θ = 21.78°, I 80
- 2θ = 28.29°, I 76
- 2θ = 29.57°, I 100
- 2θ = 36.15°, I 34
- 2θ = 49.04°, I 32

---

[4]
Theoretical powder X-ray diffraction pattern
Compound: Cs2H2Cl
Radiation: Cu Kα, 1.54184 Å
Structure: a structure optimized by DFT (GGA-PBE)
Peak positions follow from Bragg's law for the DFT cell and can differ from measured ones.

Structure:
```
5
Lattice="5.082 0.000 0.000 2.380 4.495 0.000 1.123 0.630 8.842" Properties=species:S:1:pos:R:3 pbc="T T T"
Cs 1.806 1.068 2.418
Cs 6.780 4.058 6.424
H 2.578 4.159 0.001
H 6.007 0.967 8.841
Cl 4.293 2.563 4.421
```

Top 6 peaks for 2θ = 10–90°, by angle:
- 2θ = 20.08°, I 39
- 2θ = 20.61°, I 24
- 2θ = 21.56°, I 89
- 2θ = 22.91°, I 100
- 2θ = 26.72°, I 37
- 2θ = 35.63°, I 26

---

[5]
Theoretical powder X-ray diffraction pattern
Compound: Cs2HCl3
Radiation: Cu Kα, 1.54184 Å
Structure: a structure optimized by DFT (GGA-PBE)
Peak positions follow from Bragg's law for the DFT cell and can differ from measured ones.

Structure:
```
12
Lattice="9.794 -2.529 0.000 9.794 2.529 0.000 -2.384 0.000 9.363" Properties=species:S:1:pos:R:3 pbc="T T T"
Cs 2.921 0.001 0.739
Cs 1.729 -0.001 5.421
Cs 15.477 0.001 3.942
Cs 14.285 -0.001 8.624
H 8.007 1.081 7.023
H 9.199 -1.081 2.341
Cl 8.007 2.374 7.023
Cl 6.307 0.010 1.610
Cl 5.115 -0.010 6.292
Cl 12.091 0.010 3.072
Cl 10.899 -0.010 7.754
Cl 9.199 -2.374 2.341
```

Top 6 peaks for 2θ = 10–90°, by angle:
- 2θ = 23.16°, I 70
- 2θ = 25.50°, I 100
- 2θ = 27.20°, I 56
- 2θ = 28.21°, I 55
- 2θ = 31.81°, I 84
- 2θ = 38.39°, I 62

---

[6]
Theoretical powder X-ray diffraction pattern
Compound: Cs2HoHCl6
Radiation: Cu Kα, 1.54184 Å
Structure: a structure optimized by DFT (GGA-PBE)
Peak positions follow from Bragg's law for the DFT cell and can differ from measured ones.

Structure:
```
10
Lattice="5.985 -4.313 0.000 5.985 4.313 0.000 -5.971 0.000 5.998" Properties=species:S:1:pos:R:3 pbc="T T T"
Cs 5.985 2.154 0.000
Cs 5.985 -2.154 0.000
Ho -2.985 0.000 2.999
H 2.999 0.000 2.999
Cl -0.393 0.000 2.995
Cl -2.983 0.000 5.592
Cl 2.999 1.563 2.999
Cl 2.999 -1.563 2.999
Cl 8.982 0.000 0.406
Cl 6.391 0.000 3.003
```

Top 6 peaks for 2θ = 10–90°, by angle:
- 2θ = 14.65°, I 63
- 2θ = 20.97°, I 71
- 2θ = 25.45°, I 100
- 2θ = 29.55°, I 36
- 2θ = 29.83°, I 88
- 2θ = 39.60°, I 55